For TlN2, a crystal structure in Alexandria, relaxed with PBE gives the simulated X-ray powder pattern in this record (λ = 1.5418 Å (Cu Kα)).
Kinematic intensities with the Lorentz-polarization factor, no thermal factor.

Cell and atoms:
Cell lengths 3.3159, 3.3183, 9.1752 Å; angles 94.14, 95.14, 114.13 degrees
Fractional positions:
Tl 0.0000 0.0000 0.0000
N 0.0458 0.9828 0.4489
N 0.9270 0.8636 0.5542

Top 8 peaks for 10 to 80 degrees two-theta, low angle first:
2θ = 19.57°, rel. 100; 2θ = 29.75°, rel. 73; 2θ = 30.15°, rel. 44; 2θ = 32.15°, rel. 30; 2θ = 33.58°, rel. 40; 2θ = 33.75°, rel. 39; 2θ = 37.78°, rel. 37; 2θ = 38.08°, rel. 37



For Tb2Pr5Tm2, a crystal structure in Alexandria, relaxed with PBE gives the simulated X-ray powder pattern in this record (λ = 1.5418 Å (Cu Kα)).
Kinematic intensities with the Lorentz-polarization factor, no thermal factor.

Cell and atoms:
Cell lengths 6.2870, 6.2886, 8.1130 Å; angles 75.06, 82.50, 80.40 degrees
Fractional positions:
Tb 0.1116 0.0577 0.2823
Tb 0.8884 0.9423 0.7177
Pr 0.0000 0.5000 0.5000
Pr 0.2229 0.6114 0.0549
Pr 0.3351 0.1658 0.8284
Pr 0.6649 0.8342 0.1716
Pr 0.7771 0.3886 0.9451
Tm 0.4435 0.7250 0.6084
Tm 0.5565 0.2750 0.3916

Top 8 peaks for 10 to 80 degrees two-theta, low angle first:
2θ = 30.16°, rel. 100; 2θ = 34.96°, rel. 51; 2θ = 50.28°, rel. 36; 2θ = 59.75°, rel. 43; 2θ = 62.68°, rel. 9; 2θ = 62.76°, rel. 3; 2θ = 73.82°, rel. 2; 2θ = 73.87°, rel. 4



For CrS4, a crystal structure in Alexandria, relaxed with PBE gives the simulated X-ray powder pattern in this record (λ = 1.5418 Å (Cu Kα)).
Kinematic intensities with the Lorentz-polarization factor, no thermal factor.

Cell and atoms:
Cell lengths 3.5113, 3.5113, 9.5516 Å; angles 96.29, 96.29, 53.98 degrees
Fractional positions:
Cr 0.0000 0.0000 0.0000
S 0.2340 0.2340 0.4246
S 0.2939 0.2939 0.8606
S 0.7061 0.7061 0.1394
S 0.7660 0.7660 0.5754

Top 8 peaks for 10 to 80 degrees two-theta, low angle first:
2θ = 18.72°, rel. 70; 2θ = 28.75°, rel. 17; 2θ = 29.14°, rel. 40; 2θ = 37.88°, rel. 100; 2θ = 38.05°, rel. 32; 2θ = 41.58°, rel. 25; 2θ = 54.37°, rel. 16; 2θ = 56.89°, rel. 25



For RbNpBeS4, a crystal structure in Alexandria, relaxed with PBE gives the simulated X-ray powder pattern in this record (λ = 1.5418 Å (Cu Kα)).
Kinematic intensities with the Lorentz-polarization factor, no thermal factor.

Cell and atoms:
Cell lengths 6.1411, 6.3002, 9.0990 Å; angles 90.00, 109.25, 90.00 degrees
Fractional positions:
Rb 0.2395 0.2500 0.4454
Rb 0.7605 0.7500 0.5546
Np 0.2629 0.2500 0.9468
Np 0.7371 0.7500 0.0532
Be 0.2771 0.7500 0.1563
Be 0.7229 0.2500 0.8437
S 0.0609 0.7500 0.9265
S 0.0888 0.7500 0.3083
S 0.4873 0.5048 0.8072
S 0.4873 0.9952 0.8072
S 0.5127 0.0048 0.1928
S 0.5127 0.4952 0.1928
S 0.9112 0.2500 0.6917
S 0.9391 0.2500 0.0735

Top 8 peaks for 10 to 80 degrees two-theta, low angle first:
2θ = 10.30°, rel. 86; 2θ = 20.83°, rel. 100; 2θ = 25.61°, rel. 27; 2θ = 28.33°, rel. 27; 2θ = 32.99°, rel. 32; 2θ = 35.33°, rel. 24; 2θ = 35.73°, rel. 23; 2θ = 42.37°, rel. 21



For TbPmSm2Y6, a crystal structure in Alexandria, relaxed with PBE gives the simulated X-ray powder pattern in this record (λ = 1.5418 Å (Cu Kα)).
Kinematic intensities with the Lorentz-polarization factor, no thermal factor.

Cell and atoms:
Cell lengths 8.7926, 8.7926, 9.8297 Å; angles 95.15, 95.15, 117.59 degrees
Fractional positions:
Tb 0.0190 0.9810 0.7500
Tb 0.9810 0.0190 0.2500
Pm 0.4053 0.5947 0.2500
Pm 0.5947 0.4053 0.7500
Sm 0.1906 0.2897 0.5439
Sm 0.2897 0.1906 0.0439
Sm 0.7103 0.8094 0.9561
Sm 0.8094 0.7103 0.4561
Y 0.0234 0.5769 0.6837
Y 0.1210 0.7459 0.0564
Y 0.2541 0.8790 0.4436
Y 0.2952 0.5029 0.8805
Y 0.4231 0.9766 0.8163
Y 0.4971 0.7048 0.6195
Y 0.5029 0.2952 0.3805
Y 0.5769 0.0234 0.1837
Y 0.7048 0.4971 0.1195
Y 0.7459 0.1210 0.5564
Y 0.8790 0.2541 0.9436
Y 0.9766 0.4231 0.3163

Top 8 peaks for 10 to 80 degrees two-theta, low angle first:
2θ = 27.36°, rel. 29; 2θ = 28.63°, rel. 47; 2θ = 30.14°, rel. 53; 2θ = 30.30°, rel. 56; 2θ = 31.37°, rel. 100; 2θ = 31.76°, rel. 83; 2θ = 32.23°, rel. 30; 2θ = 33.07°, rel. 51